This entry pairs a crystal structure of NiSn2Au with its simulated powder X-ray diffraction pattern. Radiation: Cu Kα (weighted mean of Kα1 and Kα2). Structure: DFT lattice parameters and positions (PBE).
Peak positions follow from Bragg's law for the DFT cell and can differ from measured ones.

Cell and atoms:
```
data_NiSn2Au
_chemical_formula_sum 'Ni1 Sn2 Au1'
_symmetry_space_group_name_H-M 'P 1'
_symmetry_Int_Tables_number 1
_cell_length_a 4.1750
_cell_length_b 4.1750
_cell_length_c 5.3774
_cell_angle_alpha 90.00
_cell_angle_beta 90.00
_cell_angle_gamma 120.00
loop_
_symmetry_equiv_pos_as_xyz
'x,y,z'
loop_
_atom_site_label
_atom_site_fract_x
_atom_site_fract_y
_atom_site_fract_z
Ni1 0.0000 0.0000 0.0000
Sn1 0.3333 0.6667 0.2082
Sn2 0.6667 0.3333 0.7918
Au1 0.0000 0.0000 0.5000
```

Largest 10 diffraction maxima, by angle, 2θ = 15–90°:
h k l	Position (°2θ)	I/Imax
1 0 0	24.6	24
1 0 1	29.8	100
0 1 2	41.9	87
1 1 0	43.3	69
0 2 1	53.5	20
2 0 2	61.8	28
1 1 3	69.1	14
2 1 1	71.2	18
1 2 2	78.5	28
3 0 0	79.5	12